[1]
Structure and simulated powder X-ray diffraction pattern of Mn5As4O20 (a crystal structure in the Materials Project, relaxed with GGA+U; CuKα).
Peak positions follow from Bragg's law for the DFT cell and can differ from measured ones.

Atomic structure:
a b c (Å): 17.590 9.358 9.554
angles (deg): 90.00 104.19 90.00
Space group C2/c (No. 15)
Asymmetric unit:
Mn1 0.000 0.104 0.250
Mn2 0.177 0.027 0.886
Mn3 0.181 0.442 0.805
As1 0.065 0.193 0.603
As2 0.150 0.242 0.147
O1 0.015 0.289 0.917
O2 0.064 0.252 0.201
O3 0.071 0.095 0.446
O4 0.075 0.042 0.724
O5 0.091 0.470 0.819
O6 0.155 0.269 0.679
O7 0.163 0.208 0.977
O8 0.191 0.410 0.170
O9 0.210 0.118 0.258
O10 0.247 0.469 0.452

Peak list (10 most intense, 10 to 80 degrees two-theta, low angle first)
- d 8.204, I = 50, (1 1 0)
- d 4.631, I = 16, (0 0 2)
- d 4.102, I = 21, (2 2 0)
- d 3.605, I = 15, (4 0 -2)
- d 3.269, I = 100, (2 2 -2)
- d 3.048, I = 14, (3 1 2)
- d 2.905, I = 33, (2 2 2)
- d 2.783, I = 19, (1 1 3)
- d 2.711, I = 15, (3 3 -1)
- d 2.482, I = 13, (6 2 -1)

***

[2]
Structure and simulated powder X-ray diffraction pattern of MnAs2O4 (a crystal structure in the Materials Project, relaxed with GGA+U; CuKα).
Peak positions follow from Bragg's law for the DFT cell and can differ from measured ones.

Atomic structure:
a b c (Å): 8.749 8.749 5.870
angles (deg): 90.00 90.00 90.00
Space group P4_2/mbc (No. 135)
Asymmetric unit:
Mn1 0.000 0.500 0.250
As1 0.176 0.193 0.000
O1 0.110 0.359 0.500
O2 0.186 0.686 0.250

Peak list (10 most intense, 10 to 80 degrees two-theta, low angle first)
- d 6.186, I = 37, (1 1 0)
- d 4.374, I = 27, (2 0 0)
- d 3.256, I = 100, (2 1 1)
- d 3.093, I = 42, (2 2 0)
- d 2.767, I = 22, (3 1 0)
- d 2.437, I = 42, (2 0 2)
- d 1.995, I = 51, (4 1 1)
- d 1.750, I = 16, (2 1 3)
- d 1.687, I = 28, (3 3 2)
- d 1.438, I = 19, (4 1 3)

***

[3]
Structure and simulated powder X-ray diffraction pattern of Mn2As2O9 (a crystal structure in the Materials Project, relaxed with GGA+U; CuKα).
Peak positions follow from Bragg's law for the DFT cell and can differ from measured ones.

Atomic structure:
a b c (Å): 6.684 14.335 9.612
angles (deg): 90.00 128.01 90.00
Space group P2_1/c (No. 14)
Asymmetric unit:
Mn1 0.165 0.111 0.407
Mn2 0.319 0.747 0.865
As1 0.105 0.186 0.047
As2 0.401 0.578 0.159
O1 0.032 0.206 0.188
O2 0.034 0.015 0.269
O3 0.137 0.658 0.664
O4 0.198 0.652 0.161
O5 0.297 0.083 0.126
O6 0.301 0.226 0.569
O7 0.310 0.034 0.627
O8 0.464 0.627 0.026
O9 0.473 0.673 0.541

Peak list (10 most intense, 10 to 80 degrees two-theta, low angle first)
- d 7.167, I = 40, (0 2 0)
- d 6.696, I = 39, (0 1 1)
- d 5.206, I = 100, (0 2 1)
- d 3.239, I = 25, (2 1 -2)
- d 3.089, I = 26, (2 1 -1)
- d 3.016, I = 55, (2 2 -2)
- d 2.968, I = 66, (0 3 2)
- d 2.718, I = 25, (2 2 -3)
- d 2.681, I = 28, (0 5 1)
- d 2.590, I = 31, (2 1 0)

***

[4]
Structure and simulated powder X-ray diffraction pattern of Mn5As2O16 (a crystal structure in the Materials Project, relaxed with GGA+U; CuKα).
Peak positions follow from Bragg's law for the DFT cell and can differ from measured ones.

Atomic structure:
a b c (Å): 5.238 16.802 6.541
angles (deg): 90.00 100.02 90.00
Space group P2_1/c (No. 14)
Asymmetric unit:
Mn1 0.000 0.000 0.000
Mn2 0.033 0.130 0.327
Mn3 0.471 0.567 0.317
As1 0.374 0.629 0.824
O1 0.081 0.630 0.905
O2 0.131 0.235 0.340
O3 0.132 0.521 0.246
O4 0.172 0.101 0.078
O5 0.283 0.664 0.311
O6 0.344 0.543 0.646
O7 0.393 0.095 0.469
O8 0.449 0.704 0.677

Peak list (10 most intense, 10 to 80 degrees two-theta, low angle first)
- d 8.401, I = 100, (0 2 0)
- d 4.226, I = 84, (0 3 1)
- d 4.201, I = 74, (0 4 0)
- d 3.403, I = 39, (1 2 1)
- d 2.928, I = 44, (1 1 -2)
- d 2.790, I = 38, (0 3 2)
- d 2.627, I = 43, (1 3 -2)
- d 2.551, I = 41, (2 1 0)
- d 2.238, I = 36, (1 6 1)
- d 2.100, I = 44, (1 1 -3)

***

[5]
Structure and simulated powder X-ray diffraction pattern of MnAsO4 (a crystal structure in the Materials Project, relaxed with GGA+U; CuKα).
Peak positions follow from Bragg's law for the DFT cell and can differ from measured ones.

Atomic structure:
a b c (Å): 4.913 9.097 8.136
angles (deg): 90.00 122.56 90.00
Space group P2_1/c (No. 14)
Asymmetric unit:
Mn1 0.000 0.000 0.000
Mn2 0.500 0.000 0.500
As1 0.179 0.179 0.717
O1 0.146 0.130 0.228
O2 0.175 0.624 0.988
O3 0.244 0.122 0.936
O4 0.491 0.620 0.788

Peak list (10 most intense, 10 to 80 degrees two-theta, low angle first)
- d 4.312, I = 22, (1 1 -1)
- d 3.790, I = 82, (0 2 1)
- d 3.768, I = 99, (1 1 0)
- d 3.543, I = 96, (1 1 -2)
- d 2.778, I = 49, (1 1 1)
- d 2.738, I = 80, (0 2 2)
- d 2.578, I = 100, (1 3 -1)
- d 2.449, I = 26, (2 0 -2)
- d 1.772, I = 23, (2 2 -4)
- d 1.511, I = 28, (1 5 -3)